This entry pairs a crystal structure of ZnNi with its theoretical XRD peak list. Radiation: copper Kα. Structure: a structure optimized by DFT (GGA-PBE).

Cell and atoms:
Unit cell a=4.2829 b=2.9075 c=4.0344 alpha=90.00 beta=102.07 gamma=90.00
Space group C2/m (No. 12)
Symmetry-distinct sites (fractional):
Zn 0.0000 0.0000 0.0000 x2
Ni 0.0000 0.5000 0.5000 x2

Most intense lines, 10 to 90 degrees two-theta, in order of rising 2θ:
hkl 1 1 -1, 2.160 Å, I 100
hkl 2 0 0, 2.094 Å, I 45
hkl 0 0 2, 1.973 Å, I 37
hkl 1 1 1, 1.943 Å, I 71
hkl 2 0 -2, 1.614 Å, I 19
hkl 0 2 0, 1.454 Å, I 13
hkl 3 1 -1, 1.270 Å, I 16
hkl 1 1 -3, 1.215 Å, I 14
hkl 2 2 0, 1.194 Å, I 13
hkl 0 2 2, 1.170 Å, I 12